Record 1
This entry pairs a crystal structure of Al2Ni6H with its simulated powder diffractogram. Radiation: CuKα. Structure: the PBE geometry in Alexandria.
No peak broadening, texture or thermal motion is included.

Crystal structure
```
data_Al2Ni6H
_space_group_name_H-M_alt 'P 1'
_space_group_IT_number 1
_cell_length_a 5.0742
_cell_length_b 5.0742
_cell_length_c 8.3100
_cell_angle_alpha 90.00
_cell_angle_beta 90.00
_cell_angle_gamma 120.00
loop_
_space_group_symop_operation_xyz
'x,y,z'
loop_
_atom_site_label
_atom_site_fract_x
_atom_site_fract_y
_atom_site_fract_z
Al1 0.0000 0.0000 0.0000
Al2 0.0000 0.0000 0.5000
Al3 0.3333 0.6667 0.2501
Al4 0.6667 0.3333 0.7501
Ni1 0.0047 0.5024 0.9986
Ni2 0.1670 0.3340 0.7515
Ni3 0.1670 0.8330 0.7515
Ni4 0.3340 0.1670 0.2515
Ni5 0.4976 0.5024 0.9986
Ni6 0.4976 0.9953 0.9986
Ni7 0.5024 0.0047 0.4986
Ni8 0.5024 0.4976 0.4986
Ni9 0.6660 0.8330 0.7515
Ni10 0.8330 0.1670 0.2515
Ni11 0.8330 0.6660 0.2515
Ni12 0.9953 0.4976 0.4986
H1 0.3333 0.6667 0.6174
H2 0.6667 0.3333 0.1174
```

Most intense lines, 15° ≤ 2θ ≤ 90°, low angle first:
| (hkl) | 2θ (°) | I (rel.) |
| --- | --- | --- |
| 1 0 2 | 29.59 | 10.7 |
| 2 0 1 | 42.56 | 44.2 |
| 0 0 4 | 43.56 | 36.7 |
| 2 0 2 | 46.77 | 100.0 |
| 2 0 3 | 53.21 | 22.4 |
| 2 0 5 | 71.13 | 8.7 |
| 2 2 0 | 74.85 | 19.9 |
| 2 0 6 | 82.29 | 17.0 |

Record 2
This entry pairs a crystal structure of Cu3Se2 with its simulated powder diffractogram. Radiation: CuKα. Structure: the PBE geometry in Alexandria.
No peak broadening, texture or thermal motion is included.

Crystal structure
```
data_Cu3Se2
_space_group_name_H-M_alt 'P 1'
_space_group_IT_number 1
_cell_length_a 6.3841
_cell_length_b 6.3841
_cell_length_c 4.3729
_cell_angle_alpha 90.00
_cell_angle_beta 90.00
_cell_angle_gamma 90.00
loop_
_space_group_symop_operation_xyz
'x,y,z'
loop_
_atom_site_label
_atom_site_fract_x
_atom_site_fract_y
_atom_site_fract_z
Cu1 0.0000 0.0000 0.0000
Cu2 0.1459 0.3541 0.2399
Cu3 0.3541 0.8541 0.7601
Cu4 0.5000 0.5000 0.0000
Cu5 0.6459 0.1459 0.7601
Cu6 0.8541 0.6459 0.2399
Se1 0.2301 0.7301 0.2651
Se2 0.2699 0.2301 0.7349
Se3 0.7301 0.7699 0.7349
Se4 0.7699 0.2699 0.2651
```

Most intense lines, 15° ≤ 2θ ≤ 90°, low angle first:
| (hkl) | 2θ (°) | I (rel.) |
| --- | --- | --- |
| 1 0 1 | 24.68 | 92.7 |
| 2 0 0 | 27.95 | 45.8 |
| 1 1 1 | 28.42 | 54.8 |
| 2 2 0 | 39.94 | 61.3 |
| 3 0 1 | 47.52 | 48.5 |
| 3 1 1 | 49.74 | 100.0 |
| 2 0 2 | 50.60 | 76.3 |
| 5 1 1 | 79.67 | 44.3 |

Record 3
This entry pairs a crystal structure of MnFe3Pt with its simulated powder diffractogram. Radiation: CuKα. Structure: the PBE geometry in Alexandria.
No peak broadening, texture or thermal motion is included.

Crystal structure
```
data_MnFe3Pt
_space_group_name_H-M_alt 'P 1'
_space_group_IT_number 1
_cell_length_a 4.6698
_cell_length_b 4.6698
_cell_length_c 4.6698
_cell_angle_alpha 90.00
_cell_angle_beta 90.00
_cell_angle_gamma 90.00
loop_
_space_group_symop_operation_xyz
'x,y,z'
loop_
_atom_site_label
_atom_site_fract_x
_atom_site_fract_y
_atom_site_fract_z
Mn1 0.0000 0.0000 0.0000
Fe1 0.0000 0.5000 0.5000
Fe2 0.5000 0.0000 0.5000
Fe3 0.5000 0.5000 0.0000
Pt1 0.5000 0.5000 0.5000
```

Most intense lines, 15° ≤ 2θ ≤ 90°, low angle first:
| (hkl) | 2θ (°) | I (rel.) |
| --- | --- | --- |
| 1 0 0 | 19.00 | 100.0 |
| 1 1 0 | 27.00 | 81.2 |
| 2 0 0 | 38.56 | 80.9 |
| 2 1 0 | 43.33 | 49.5 |
| 2 1 1 | 47.70 | 35.2 |
| 2 2 0 | 55.67 | 53.5 |
| 3 0 0 | 59.37 | 24.7 |
| 3 2 1 | 76.30 | 18.0 |